Record 1
Simulated X-ray powder pattern
Compound: Mg8SnPd2
Radiation: Cu Kα, 1.54184 Å
Structure: DFT lattice parameters and positions (PBE)
Intensities are scaled so that the largest is 100.

Principal peaks in the range 10° ≤ 2θ ≤ 80°, sorted by position:
2θ 22.81, intensity 100.0, hkl 0 1 -2; 2θ 23.19, intensity 75.2, hkl 1 1 -1; 2θ 26.26, intensity 26.0, hkl 0 2 -1; 2θ 26.74, intensity 30.2, hkl 1 0 1; 2θ 26.86, intensity 29.9, hkl 1 0 -2; 2θ 37.82, intensity 93.2, hkl 1 2 0; 2θ 37.91, intensity 65.1, hkl -1 2 1; 2θ 38.73, intensity 42.6, hkl 2 0 -1; 2θ 44.32, intensity 21.3, hkl 0 3 -3; 2θ 44.53, intensity 28.8, hkl 1 3 -2; 2θ 44.73, intensity 20.3, hkl 1 1 2; 2θ 44.88, intensity 20.0, hkl 1 1 -4

Crystal structure
a = 4.650 Å, b = 6.788 Å, c = 8.229 Å
α = 114.29°, β = 106.18°, γ = 90.01°
Space group P1 (No. 1)
Inequivalent atoms, fractional coordinates:
Mg 0.000 0.000 0.000 (multiplicity 1)
Mg 0.039 0.482 0.082 (multiplicity 1)
Mg 0.208 0.331 0.416 (multiplicity 1)
Mg 0.377 0.816 0.752 (multiplicity 1)
Mg 0.416 0.415 0.834 (multiplicity 1)
Mg 0.590 0.892 0.179 (multiplicity 1)
Mg 0.709 0.612 0.417 (multiplicity 1)
Mg 0.825 0.130 0.653 (multiplicity 1)
Sn 0.208 0.905 0.417 (multiplicity 1)
Pd 0.547 0.242 0.096 (multiplicity 1)
Pd 0.870 0.563 0.740 (multiplicity 1)

Record 2
Simulated X-ray powder pattern
Compound: Mn4VSi
Radiation: Cu Kα, 1.54184 Å
Structure: DFT lattice parameters and positions (PBE)
Intensities are scaled so that the largest is 100.

Principal peaks in the range 10° ≤ 2θ ≤ 80°, sorted by position:
2θ 12.93, intensity 4.3, hkl 0 0 1; 2θ 26.03, intensity 2.7, hkl 0 0 2; 2θ 26.23, intensity 5.1, hkl 0 1 1; 2θ 43.74, intensity 1.7, hkl 1 0 -2; 2θ 44.17, intensity 100.0, hkl 1 1 -1; 2θ 44.77, intensity 3.2, hkl 1 1 1; 2θ 44.94, intensity 47.0, hkl 1 0 2; 2θ 46.05, intensity 89.1, hkl 0 1 3; 2θ 46.41, intensity 43.5, hkl 0 2 0; 2θ 64.83, intensity 14.4, hkl 1 0 -4; 2θ 66.59, intensity 26.5, hkl 1 2 2; 2θ 79.66, intensity 7.2, hkl 2 0 -2

Crystal structure
a = 2.547 Å, b = 3.913 Å, c = 6.848 Å
α = 90.00°, β = 91.53°, γ = 90.00°
Space group P2/m (No. 10)
Inequivalent atoms, fractional coordinates:
Mn 0.167 0.000 0.165 (multiplicity 2)
Mn 0.203 0.500 0.669 (multiplicity 2)
V 0.500 0.000 0.500 (multiplicity 1)
Si 0.500 0.500 0.000 (multiplicity 1)

Record 3
Simulated X-ray powder pattern
Compound: Mg2Fe2Rh
Radiation: Cu Kα, 1.54184 Å
Structure: DFT lattice parameters and positions (PBE)
Intensities are scaled so that the largest is 100.

Principal peaks in the range 10° ≤ 2θ ≤ 80°, sorted by position:
2θ 21.23, intensity 100.0, hkl 0 0 1; 2θ 29.14, intensity 18.1, hkl 2 0 0; 2θ 29.68, intensity 16.4, hkl 1 1 1; 2θ 36.34, intensity 67.3, hkl 2 0 1; 2θ 39.30, intensity 73.4, hkl 2 1 1; 2θ 41.68, intensity 17.9, hkl 2 2 0; 2θ 43.25, intensity 37.8, hkl 0 0 2; 2θ 46.88, intensity 53.0, hkl 3 1 0; 2θ 47.24, intensity 11.3, hkl 2 2 1; 2θ 52.00, intensity 45.3, hkl 3 1 1; 2θ 61.62, intensity 10.9, hkl 2 2 2; 2θ 65.67, intensity 36.8, hkl 3 1 2

Crystal structure
a = 6.128 Å, b = 6.128 Å, c = 4.184 Å
α = 90.00°, β = 90.00°, γ = 90.00°
Space group P4/mbm (No. 127)
Inequivalent atoms, fractional coordinates:
Mg 0.179 0.321 0.000 (multiplicity 4)
Fe 0.122 0.622 0.500 (multiplicity 4)
Rh 0.000 0.000 0.500 (multiplicity 2)

Record 4
Simulated X-ray powder pattern
Compound: CaPaBi4Pb2
Radiation: Cu Kα, 1.54184 Å
Structure: DFT lattice parameters and positions (PBE)
Intensities are scaled so that the largest is 100.

Principal peaks in the range 10° ≤ 2θ ≤ 80°, sorted by position:
2θ 15.23, intensity 9.6, hkl 1 0 1; 2θ 27.03, intensity 50.7, hkl 0 0 4; 2θ 27.52, intensity 100.0, hkl 2 0 0; 2θ 38.96, intensity 78.8, hkl 2 0 4; 2θ 39.31, intensity 39.7, hkl 2 2 0; 2θ 48.36, intensity 43.0, hkl 2 2 4; 2θ 56.81, intensity 13.9, hkl 4 0 0; 2θ 63.26, intensity 17.8, hkl 2 0 8; 2θ 64.01, intensity 18.9, hkl 4 0 4; 2θ 64.26, intensity 19.3, hkl 4 2 0; 2θ 70.32, intensity 13.2, hkl 2 2 8; 2θ 71.03, intensity 28.1, hkl 4 2 4

Crystal structure
a = 6.483 Å, b = 6.483 Å, c = 13.194 Å
α = 90.00°, β = 90.00°, γ = 90.00°
Space group I-4m2 (No. 119)
Inequivalent atoms, fractional coordinates:
Ca 0.000 0.000 0.000 (multiplicity 2)
Pa 0.000 0.500 0.750 (multiplicity 2)
Bi 0.000 0.000 0.249 (multiplicity 4)
Bi 0.000 0.500 0.513 (multiplicity 4)
Pb 0.000 0.000 0.500 (multiplicity 2)
Pb 0.000 0.500 0.250 (multiplicity 2)